(1)
This entry pairs a crystal structure of Tb4Bi3 with its simulated PXRD pattern. Radiation: Cu Kα (weighted mean of Kα1 and Kα2). Structure: a DFT-relaxed cell (GGA-PBE, the Materials Project).

The 10 most intense peaks (2θ from 15° to 90°), by angle:
29.9°, I = 100; 35.6°, I = 68; 42.9°, I = 19; 45.1°, I = 13; 47.2°, I = 14; 49.2°, I = 19; 60.5°, I = 30; 62.2°, I = 11; 63.9°, I = 15; 73.8°, I = 19

Structure:
```
data_Tb4Bi3
_cell_length_a 8.1715
_cell_length_b 8.1715
_cell_length_c 8.1715
_cell_angle_alpha 109.47
_cell_angle_beta 109.47
_cell_angle_gamma 109.47
_space_group_name_H-M_alt 'P 1'
_space_group_IT_number 1
loop_
_space_group_symop_operation_xyz
'x,y,z'
loop_
_atom_site_label
_atom_site_type_symbol
_atom_site_fract_x
_atom_site_fract_y
_atom_site_fract_z
Tb1 Tb 0.0000 0.3529 0.5000
Tb2 Tb 0.0000 0.8529 0.5000
Tb3 Tb 0.1471 0.1471 0.1471
Tb4 Tb 0.3529 0.5000 0.0000
Tb5 Tb 0.5000 0.0000 0.3529
Tb6 Tb 0.5000 0.0000 0.8529
Tb7 Tb 0.6471 0.6471 0.6471
Tb8 Tb 0.8529 0.5000 0.0000
Bi1 Bi 0.1250 0.7500 0.8750
Bi2 Bi 0.2500 0.6250 0.3750
Bi3 Bi 0.3750 0.2500 0.6250
Bi4 Bi 0.6250 0.3750 0.2500
Bi5 Bi 0.7500 0.8750 0.1250
Bi6 Bi 0.8750 0.1250 0.7500
```

=====

(2)
This entry pairs a crystal structure of Sc3P with its simulated PXRD pattern. Radiation: Cu Kα (weighted mean of Kα1 and Kα2). Structure: a DFT-relaxed cell (GGA-PBE, the Materials Project).

The 10 most intense peaks (2θ from 15° to 90°), by angle:
32.4°, I = 54; 33.8°, I = 52; 33.9°, I = 84; 35.5°, I = 100; 35.6°, I = 59; 37.4°, I = 78; 38.1°, I = 65; 40.2°, I = 69; 41.8°, I = 31; 42.9°, I = 51

Structure:
```
data_Sc3P
_cell_length_a 6.7982
_cell_length_b 8.4092
_cell_length_c 5.7666
_cell_angle_alpha 90.00
_cell_angle_beta 90.00
_cell_angle_gamma 90.00
_space_group_name_H-M_alt 'P 1'
_space_group_IT_number 1
loop_
_space_group_symop_operation_xyz
'x,y,z'
loop_
_atom_site_label
_atom_site_type_symbol
_atom_site_fract_x
_atom_site_fract_y
_atom_site_fract_z
Sc1 Sc 0.0269 0.2500 0.1400
Sc2 Sc 0.1791 0.0506 0.6450
Sc3 Sc 0.1791 0.4494 0.6450
Sc4 Sc 0.3209 0.5506 0.1450
Sc5 Sc 0.3209 0.9494 0.1450
Sc6 Sc 0.4731 0.7500 0.6400
Sc7 Sc 0.5269 0.2500 0.3600
Sc8 Sc 0.6791 0.0506 0.8550
Sc9 Sc 0.6791 0.4494 0.8550
Sc10 Sc 0.8209 0.5506 0.3550
Sc11 Sc 0.8209 0.9494 0.3550
Sc12 Sc 0.9731 0.7500 0.8600
P1 P 0.1244 0.7500 0.4274
P2 P 0.3756 0.2500 0.9274
P3 P 0.6244 0.7500 0.0726
P4 P 0.8756 0.2500 0.5726
```

=====

(3)
This entry pairs a crystal structure of CrTe with its simulated PXRD pattern. Radiation: Cu Kα (weighted mean of Kα1 and Kα2). Structure: a DFT-relaxed cell (GGA-PBE, the Materials Project).

The 10 most intense peaks (2θ from 15° to 90°), by angle:
28.5°, I = 7; 28.7°, I = 100; 38.1°, I = 54; 43.7°, I = 28; 43.9°, I = 14; 50.5°, I = 20; 53.0°, I = 11; 53.3°, I = 12; 59.5°, I = 9; 76.2°, I = 10

Structure:
```
data_CrTe
_cell_length_a 6.2733
_cell_length_b 4.1233
_cell_length_c 7.1785
_cell_angle_alpha 90.00
_cell_angle_beta 90.00
_cell_angle_gamma 90.00
_space_group_name_H-M_alt 'P 1'
_space_group_IT_number 1
loop_
_space_group_symop_operation_xyz
'x,y,z'
loop_
_atom_site_label
_atom_site_type_symbol
_atom_site_fract_x
_atom_site_fract_y
_atom_site_fract_z
Cr1 Cr 0.0030 0.2500 0.2453
Cr2 Cr 0.4970 0.7500 0.7453
Cr3 Cr 0.5030 0.2500 0.2547
Cr4 Cr 0.9970 0.7500 0.7547
Te1 Te 0.2461 0.2500 0.5832
Te2 Te 0.2539 0.7500 0.0832
Te3 Te 0.7461 0.2500 0.9168
Te4 Te 0.7539 0.7500 0.4168
```